# 1
For GdEr2Sn3Ir2Pd, a structure optimized by DFT (PBE) gives the simulated X-ray diffraction stick pattern in this record (copper Kα).

Structure:
abc: 3.8421 7.6111 7.6111
angles: 120.14 90.00 90.00
Fractional coordinates of all 9 atoms:
Gd: 0.0000 0.0000 0.0000
Er: 0.0000 0.4063 0.8131
Er: 0.0000 0.8131 0.4063
Sn: 0.5000 0.1405 0.4078
Sn: 0.5000 0.4078 0.1405
Sn: 0.5000 0.6730 0.6730
Ir: 0.5000 0.0741 0.7371
Ir: 0.5000 0.7371 0.0741
Pd: 0.0000 0.4087 0.4087

Peak list (10 most intense, 2θ from 5° to 70°, low angle first)
2theta  intensity
33.15  1000
35.92  854
36.08  399
41.11  491
43.30  254
47.32  240
60.91  180
64.45  264
66.44  218
66.58  105



# 2
For Dy2Tm3Al3, a structure optimized by DFT (PBE) gives the simulated X-ray diffraction stick pattern in this record (copper Kα).

Structure:
abc: 6.4536 4.9200 6.4665
angles: 90.00 102.18 90.00
Fractional coordinates of all 8 atoms:
Dy: 0.0000 0.0000 0.0000
Dy: 0.3022 0.5000 0.7872
Tm: 0.2894 0.5000 0.2849
Tm: 0.5790 0.0000 0.5685
Tm: 0.7885 0.5000 0.2839
Al: 0.0731 0.0000 0.5030
Al: 0.5076 0.0000 0.0708
Al: 0.7968 0.5000 0.7793

Peak list (10 most intense, 2θ from 5° to 70°, low angle first)
2theta  intensity
21.91  134
22.91  147
25.33  233
33.73  1000
35.72  224
36.53  221
44.67  91
52.02  185
62.91  153
63.97  158



# 3
For B4W, a structure optimized by DFT (PBE) gives the simulated X-ray diffraction stick pattern in this record (copper Kα).

Structure:
abc: 2.9507 2.9507 10.9989
angles: 90.00 90.00 120.00
Fractional coordinates of all 10 atoms:
B: 0.3333 0.6667 0.0454
B: 0.3333 0.6667 0.4546
B: 0.3333 0.6667 0.6109
B: 0.3333 0.6667 0.8891
B: 0.6667 0.3333 0.1109
B: 0.6667 0.3333 0.3891
B: 0.6667 0.3333 0.5454
B: 0.6667 0.3333 0.9546
W: 0.3333 0.6667 0.2500
W: 0.6667 0.3333 0.7500

Peak list (10 most intense, 2θ from 5° to 70°, low angle first)
2theta  intensity
16.12  1000
32.56  215
35.12  203
36.08  763
38.86  185
43.15  507
48.64  109
55.09  295
63.00  142
65.51  168



# 4
For TlCu5Se3, a structure optimized by DFT (PBE) gives the simulated X-ray diffraction stick pattern in this record (copper Kα).

Structure:
abc: 12.8950 12.8950 3.9524
angles: 90.00 90.00 90.00
Fractional coordinates of all 36 atoms:
Tl: 0.1061 0.1061 0.0000
Tl: 0.3939 0.6061 0.5000
Tl: 0.6061 0.3939 0.5000
Tl: 0.8939 0.8939 0.0000
Cu: 0.0123 0.3973 0.0000
Cu: 0.0819 0.7103 0.5000
Cu: 0.1027 0.5123 0.5000
Cu: 0.1817 0.8183 0.0000
Cu: 0.2103 0.4181 0.0000
Cu: 0.2897 0.9181 0.5000
Cu: 0.3183 0.3183 0.5000
Cu: 0.3973 0.0123 0.0000
Cu: 0.4181 0.2103 0.0000
Cu: 0.4877 0.8973 0.5000
Cu: 0.5123 0.1027 0.5000
Cu: 0.5819 0.7897 0.0000
Cu: 0.6027 0.9877 0.0000
Cu: 0.6817 0.6817 0.5000
Cu: 0.7103 0.0819 0.5000
Cu: 0.7897 0.5819 0.0000
Cu: 0.8183 0.1817 0.0000
Cu: 0.8973 0.4877 0.5000
Cu: 0.9181 0.2897 0.5000
Cu: 0.9877 0.6027 0.0000
Se: 0.1027 0.8973 0.5000
Se: 0.1164 0.3226 0.5000
Se: 0.1774 0.6164 0.0000
Se: 0.3226 0.1164 0.5000
Se: 0.3836 0.8226 0.0000
Se: 0.3973 0.3973 0.0000
Se: 0.6027 0.6027 0.0000
Se: 0.6164 0.1774 0.0000
Se: 0.6774 0.8836 0.5000
Se: 0.8226 0.3836 0.0000
Se: 0.8836 0.6774 0.5000
Se: 0.8973 0.1027 0.5000

Peak list (10 most intense, 2θ from 5° to 70°, low angle first)
2theta  intensity
27.67  890
29.92  912
31.52  742
35.50  431
36.64  1000
41.82  661
45.92  595
50.02  650
50.36  668
59.37  449



# 5
For Cu2Ag3, a structure optimized by DFT (PBE) gives the simulated X-ray diffraction stick pattern in this record (copper Kα).

Structure:
abc: 6.2025 3.9302 6.3890
angles: 90.00 91.17 90.00
Fractional coordinates of all 10 atoms:
Cu: 0.0000 0.0000 0.0000
Cu: 0.1018 0.5000 0.6933
Cu: 0.5000 0.5000 0.5000
Cu: 0.8982 0.5000 0.3067
Ag: 0.1945 0.0000 0.3965
Ag: 0.2826 0.5000 0.0941
Ag: 0.3902 0.0000 0.7920
Ag: 0.6098 0.0000 0.2080
Ag: 0.7174 0.5000 0.9059
Ag: 0.8055 0.0000 0.6035

Peak list (10 most intense, 2θ from 5° to 70°, low angle first)
2theta  intensity
26.63  23
28.79  16
39.38  1000
44.72  173
46.20  157
46.45  147
66.25  104
66.39  46
66.50  47
67.59  89



# 6
For ZnCu2SnS4, a structure optimized by DFT (PBE) gives the simulated X-ray diffraction stick pattern in this record (copper Kα).

Structure:
abc: 5.4401 5.4401 10.9421
angles: 90.00 90.00 90.00
Fractional coordinates of all 16 atoms:
Zn: 0.0000 0.0000 0.0000
Zn: 0.5000 0.5000 0.5000
Cu: 0.0000 0.5000 0.2500
Cu: 0.0000 0.5000 0.7500
Cu: 0.5000 0.0000 0.2500
Cu: 0.5000 0.0000 0.7500
Sn: 0.0000 0.0000 0.5000
Sn: 0.5000 0.5000 0.0000
S: 0.2421 0.2421 0.8667
S: 0.2421 0.7579 0.1333
S: 0.2579 0.2579 0.3667
S: 0.2579 0.7421 0.6333
S: 0.7421 0.2579 0.6333
S: 0.7421 0.7421 0.3667
S: 0.7579 0.2421 0.1333
S: 0.7579 0.7579 0.8667

Peak list (10 most intense, 2θ from 5° to 70°, low angle first)
2theta  intensity
18.21  43
28.36  1000
32.74  54
32.93  105
47.12  393
47.26  196
55.79  141
56.04  280
58.68  44
69.06  60